# 1
The following is a theoretical PXRD pattern of YTm3Cu2. It was derived from a PBE-relaxed structure, using copper Kα.
Peak positions follow from Bragg's law for the DFT cell and can differ from measured ones.

Crystal structure
```
data_YTm3Cu2
_chemical_formula_sum 'Y2 Tm6 Cu4'
_symmetry_space_group_name_H-M 'P m c 21'
_symmetry_Int_Tables_number 26
_symmetry_space_group_name_Hall 'P 2c -2'
_cell_length_a 4.8392
_cell_length_b 8.5788
_cell_length_c 6.8875
_cell_angle_alpha 90.00
_cell_angle_beta 90.00
_cell_angle_gamma 90.00
loop_
_atom_site_label
_atom_site_fract_x
_atom_site_fract_y
_atom_site_fract_z
Y1 0.0000 0.0754 0.0000
Tm1 0.0000 0.3346 0.6276
Tm2 0.5000 0.1700 0.3403
Tm3 0.5000 0.4246 0.9657
Cu1 0.0000 0.3513 0.2292
Cu2 0.5000 0.1508 0.7385
```

Top 8 peaks for 2θ from 10° to 90°, most intense first:
index  two_theta  d_spacing  I_rel
1 2 1  30.73  2.909  100
1 1 2  33.61  2.667  64
1 3 0  36.50  2.462  55
2 0 0  37.16  2.420  55
1 0 2  31.90  2.806  49
1 4 3  62.27  1.491  22
0 1 3  40.68  2.218  21
0 3 2  41.03  2.200  18


# 2
The following is a theoretical PXRD pattern of La4Y4Tm3. It was derived from a PBE-relaxed structure, using copper Kα.
Peak positions follow from Bragg's law for the DFT cell and can differ from measured ones.

Crystal structure
```
data_La4Y4Tm3
_chemical_formula_sum 'La4 Y4 Tm3'
_symmetry_space_group_name_H-M 'P -1'
_symmetry_Int_Tables_number 2
_symmetry_space_group_name_Hall '-P 1'
_cell_length_a 3.5356
_cell_length_b 5.6975
_cell_length_c 18.4585
_cell_angle_alpha 98.86
_cell_angle_beta 95.49
_cell_angle_gamma 90.01
loop_
_atom_site_label
_atom_site_fract_x
_atom_site_fract_y
_atom_site_fract_z
La1 0.0468 0.0478 0.0930
La2 0.1793 0.6789 0.3574
Y1 0.0910 0.5915 0.1810
Y2 0.2321 0.2323 0.4644
Tm1 0.3626 0.8629 0.7265
Tm2 0.5000 0.5000 0.0000
```

Top 8 peaks for 2θ from 10° to 90°, most intense first:
index  two_theta  d_spacing  I_rel
0 2 -1  31.35  2.853  100
2 2 -2  61.73  1.503  18
1 0 3  30.60  2.921  17
0 3 4  55.87  1.646  15
1 2 2  44.42  2.040  12
1 2 -9  56.25  1.635  8
1 0 -8  45.41  1.997  8
1 1 0  30.15  2.964  6


# 3
The following is a theoretical PXRD pattern of Ce5SnRu4. It was derived from a PBE-relaxed structure, using copper Kα.
Peak positions follow from Bragg's law for the DFT cell and can differ from measured ones.

Crystal structure
```
data_Ce5SnRu4
_chemical_formula_sum 'Ce10 Sn2 Ru8'
_symmetry_space_group_name_H-M 'P m m n'
_symmetry_Int_Tables_number 59
_cell_length_a 7.7091
_cell_length_b 8.8082
_cell_length_c 7.0014
_cell_angle_alpha 90.00
_cell_angle_beta 90.00
_cell_angle_gamma 90.00
loop_
_symmetry_equiv_pos_as_xyz
'x,y,z'
'-x,-y,-z'
'-x+1/2,-y+1/2,z'
'x+1/2,y+1/2,-z'
'x+1/2,-y,-z'
'-x+1/2,y,z'
'-x,y+1/2,-z'
'x,-y+1/2,z'
loop_
_atom_site_label
_atom_site_fract_x
_atom_site_fract_y
_atom_site_fract_z
Ce1 0.0025 0.0488 0.2388
Ce2 0.2500 0.7500 0.3846
Sn1 0.2500 0.2500 0.8447
Ru1 0.0757 0.7500 0.0020
Ru2 0.2500 0.0820 0.4939
```

Top 8 peaks for 2θ from 10° to 90°, most intense first:
index  two_theta  d_spacing  I_rel
2 2 2  40.38  2.233  100
0 3 1  33.08  2.708  72
0 2 2  32.67  2.741  68
2 1 1  28.31  3.153  65
2 0 2  34.61  2.591  57
2 0 1  26.40  3.377  51
2 2 0  30.83  2.901  50
3 3 1  48.86  1.864  40


What is the formula in the second record? La4Y4Tm3